# ZnCu2GeSe2S2
Calculated powder diffraction line list, a wavelength of 1.5418 Å. Input: the PBE geometry in Alexandria.

Structural model:
Cell: 7.767 6.717 6.369 Å, 90.00 90.00 90.00°
Space group Pmn2_1 (No. 31)
One atom of each set of equivalent atoms:
Zn 0.000 0.147 0.000 x2
Cu 0.249 0.309 0.484 x4
Ge 0.000 0.839 0.497 x2
Se 0.248 0.660 0.365 x4
S 0.000 0.159 0.373 x2
S 0.000 0.823 0.858 x2

The 8 most intense peaks (10° ≤ 2θ ≤ 80°), sorted by position:
2θ 26.52, intensity 100, hkl 0 2 0
2θ 28.02, intensity 59, hkl 0 0 2
2θ 30.06, intensity 69, hkl 2 1 1
2θ 38.96, intensity 35, hkl 0 2 2
2θ 46.82, intensity 78, hkl 4 0 0
2θ 50.88, intensity 80, hkl 2 1 3
2θ 55.45, intensity 45, hkl 4 0 2
2θ 71.62, intensity 26, hkl 4 2 3